Record 1
Theoretical powder XRD pattern of TaCr2Au for Cu Kα X-rays, from a cell relaxed with PBE.
Lines closer than 0.1° are merged.

Cell and atoms:
Cell: 2.8153 4.4260 5.0669 Å, 90.00 95.10 90.00°
Space group P2/m (No. 10)
Symmetry-distinct sites (fractional):
Ta: 0.0000 0.0000 0.0000 x1
Cr: 0.3179 0.5000 0.8077 x2
Au: 0.5000 0.0000 0.5000 x1

The 10 most intense peaks (10° ≤ 2θ ≤ 90°), sorted by position:
20.06 deg, d 4.426, intensity 60
35.20 deg, d 2.549, intensity 15
35.58 deg, d 2.523, intensity 18
38.07 deg, d 2.364, intensity 36
40.82 deg, d 2.210, intensity 100
41.18 deg, d 2.192, intensity 58
43.40 deg, d 2.085, intensity 22
55.20 deg, d 1.664, intensity 12
57.01 deg, d 1.615, intensity 22
74.47 deg, d 1.274, intensity 16


Record 2
Theoretical powder XRD pattern of CrTe3Au for Cu Kα X-rays, from a cell relaxed with PBE.
Lines closer than 0.1° are merged.

Cell and atoms:
Cell: 12.2650 12.7861 7.2396 Å, 90.00 109.67 90.00°
Space group C2/c (No. 15)
Symmetry-distinct sites (fractional):
Cr: 0.0000 0.0766 0.2500 x4
Cr: 0.0000 0.2233 0.7500 x4
Te: 0.1220 0.0751 0.6420 x8
Te: 0.1255 0.2222 0.1444 x8
Te: 0.1323 0.3760 0.6816 x8
Au: 0.1284 0.4217 0.3025 x8

The 10 most intense peaks (10° ≤ 2θ ≤ 90°), sorted by position:
24.46 deg, d 3.639, intensity 25
25.60 deg, d 3.480, intensity 31
26.14 deg, d 3.409, intensity 44
27.15 deg, d 3.285, intensity 25
30.76 deg, d 2.906, intensity 35
30.94 deg, d 2.890, intensity 100
40.87 deg, d 2.208, intensity 32
42.42 deg, d 2.131, intensity 25
43.45 deg, d 2.083, intensity 48
50.64 deg, d 1.802, intensity 24


Record 3
Theoretical powder XRD pattern of Cr2TeAu for Cu Kα X-rays, from a cell relaxed with PBE.
Lines closer than 0.1° are merged.

Cell and atoms:
Cell: 3.8956 3.8956 5.5556 Å, 90.00 90.00 90.00°
Space group P4mm (No. 99)
Symmetry-distinct sites (fractional):
Cr: 0.0000 0.0000 0.0000 x1
Cr: 0.5000 0.5000 0.3973 x1
Te: 0.0000 0.0000 0.4977 x1
Au: 0.5000 0.5000 0.9186 x1

The 10 most intense peaks (10° ≤ 2θ ≤ 90°), sorted by position:
27.97 deg, d 3.190, intensity 68
32.23 deg, d 2.778, intensity 38
32.50 deg, d 2.755, intensity 100
39.86 deg, d 2.262, intensity 31
46.42 deg, d 1.956, intensity 55
46.63 deg, d 1.948, intensity 36
55.26 deg, d 1.662, intensity 23
57.82 deg, d 1.595, intensity 28
62.98 deg, d 1.476, intensity 16
86.41 deg, d 1.126, intensity 18


Record 4
Theoretical powder XRD pattern of TlCrAu2 for Cu Kα X-rays, from a cell relaxed with PBE.
Lines closer than 0.1° are merged.

Cell and atoms:
Cell: 3.5003 3.6983 6.0747 Å, 90.00 90.00 90.00°
Space group Pmm2 (No. 25)
Symmetry-distinct sites (fractional):
Tl: 0.0000 0.0000 0.0000 x1
Cr: 0.5000 0.5000 0.2794 x1
Au: 0.0000 0.0000 0.4898 x1
Au: 0.5000 0.5000 0.7419 x1

The 10 most intense peaks (10° ≤ 2θ ≤ 90°), sorted by position:
14.58 deg, d 6.075, intensity 16
29.44 deg, d 3.034, intensity 14
35.31 deg, d 2.542, intensity 100
38.35 deg, d 2.347, intensity 85
39.27 deg, d 2.294, intensity 74
49.28 deg, d 1.849, intensity 20
52.26 deg, d 1.750, intensity 18
64.75 deg, d 1.440, intensity 34
66.66 deg, d 1.403, intensity 32
72.50 deg, d 1.304, intensity 23


Record 5
Theoretical powder XRD pattern of Y2CrAu for Cu Kα X-rays, from a cell relaxed with PBE.
Lines closer than 0.1° are merged.

Cell and atoms:
Cell: 4.6731 3.7718 10.9395 Å, 90.00 90.00 90.00°
Space group Amm2 (No. 38)
Symmetry-distinct sites (fractional):
Y: 0.0000 0.0000 0.0000 x2
Y: 0.5000 0.0000 0.2946 x2
Cr: 0.0000 0.0000 0.7210 x2
Au: 0.5000 0.0000 0.5746 x2

The 10 most intense peaks (10° ≤ 2θ ≤ 90°), sorted by position:
16.20 deg, d 5.470, intensity 33
18.99 deg, d 4.673, intensity 20
25.00 deg, d 3.562, intensity 27
31.56 deg, d 2.835, intensity 100
34.20 deg, d 2.622, intensity 33
38.13 deg, d 2.360, intensity 42
38.53 deg, d 2.337, intensity 33
39.41 deg, d 2.286, intensity 65
52.46 deg, d 1.744, intensity 20
63.10 deg, d 1.473, intensity 19


Record 6
Theoretical powder XRD pattern of ZnCrAu2 for Cu Kα X-rays, from a cell relaxed with PBE.
Lines closer than 0.1° are merged.

Cell and atoms:
Cell: 4.0103 4.0103 8.2238 Å, 90.00 90.00 90.00°
Space group I-4m2 (No. 119)
Symmetry-distinct sites (fractional):
Zn: 0.0000 0.0000 0.0000 x2
Cr: 0.0000 0.5000 0.7500 x2
Au: 0.0000 0.0000 0.5000 x2
Au: 0.0000 0.5000 0.2500 x2

The 10 most intense peaks (10° ≤ 2θ ≤ 90°), sorted by position:
24.70 deg, d 3.605, intensity 41
38.57 deg, d 2.334, intensity 100
39.83 deg, d 2.263, intensity 13
44.04 deg, d 2.056, intensity 17
45.22 deg, d 2.005, intensity 32
52.20 deg, d 1.752, intensity 12
64.97 deg, d 1.435, intensity 21
77.32 deg, d 1.234, intensity 13
79.01 deg, d 1.212, intensity 29
82.67 deg, d 1.167, intensity 11


Record 7
Theoretical powder XRD pattern of Cs5Au3 for Cu Kα X-rays, from a cell relaxed with PBE.
Lines closer than 0.1° are merged.

Cell and atoms:
Cell: 9.4267 9.4267 17.7990 Å, 90.00 90.00 90.00°
Space group P4/ncc (No. 130, origin choice 2)
Symmetry-distinct sites (fractional):
Cs: 0.0660 0.5832 0.1087 x16
Cs: 0.2500 0.2500 0.2309 x4
Au: 0.1395 0.6395 0.7500 x8
Au: 0.2500 0.2500 0.0138 x4

The 10 most intense peaks (10° ≤ 2θ ≤ 90°), sorted by position:
16.62 deg, d 5.335, intensity 32
25.93 deg, d 3.437, intensity 100
26.75 deg, d 3.333, intensity 18
27.57 deg, d 3.236, intensity 55
29.98 deg, d 2.981, intensity 51
32.93 deg, d 2.720, intensity 20
34.68 deg, d 2.587, intensity 21
42.91 deg, d 2.108, intensity 13
45.64 deg, d 1.988, intensity 14
53.69 deg, d 1.707, intensity 22


Record 8
Theoretical powder XRD pattern of CsAu for Cu Kα X-rays, from a cell relaxed with PBE.
Lines closer than 0.1° are merged.

Cell and atoms:
Cell: 7.3993 7.3993 7.3993 Å, 90.00 90.00 90.00°
Space group Fm-3m (No. 225)
Symmetry-distinct sites (fractional):
Cs: 0.0000 0.0000 0.0000 x4
Au: 0.0000 0.0000 0.5000 x4

The 10 most intense peaks (10° ≤ 2θ ≤ 90°), sorted by position:
24.05 deg, d 3.700, intensity 100
34.28 deg, d 2.616, intensity 81
42.31 deg, d 2.136, intensity 30
49.26 deg, d 1.850, intensity 15
55.54 deg, d 1.655, intensity 41
61.38 deg, d 1.510, intensity 30
72.23 deg, d 1.308, intensity 10
77.38 deg, d 1.233, intensity 20
82.44 deg, d 1.170, intensity 14
87.44 deg, d 1.115, intensity 12


Record 9
Theoretical powder XRD pattern of Cs6Au for Cu Kα X-rays, from a cell relaxed with PBE.
Lines closer than 0.1° are merged.

Cell and atoms:
Cell: 9.2331 9.2331 8.8396 Å, 90.00 90.00 120.00°
Space group P-31m (No. 162)
Symmetry-distinct sites (fractional):
Cs: 0.0000 0.3195 0.2593 x6
Au: 0.0000 0.0000 0.5000 x1

The 10 most intense peaks (10° ≤ 2θ ≤ 90°), sorted by position:
11.07 deg, d 7.996, intensity 25
14.94 deg, d 5.930, intensity 19
20.09 deg, d 4.420, intensity 14
21.72 deg, d 4.092, intensity 100
27.95 deg, d 3.193, intensity 38
33.62 deg, d 2.665, intensity 32
36.16 deg, d 2.484, intensity 28
40.39 deg, d 2.233, intensity 19
53.53 deg, d 1.712, intensity 16
53.89 deg, d 1.701, intensity 16


Record 10
Theoretical powder XRD pattern of Cs3Au4 for Cu Kα X-rays, from a cell relaxed with PBE.
Lines closer than 0.1° are merged.

Cell and atoms:
Cell: 5.0181 5.2624 20.4355 Å, 90.00 90.00 90.00°
Space group Immm (No. 71)
Symmetry-distinct sites (fractional):
Cs: 0.0000 0.0000 0.0000 x2
Cs: 0.0000 0.5000 0.3143 x4
Au: 0.0000 0.0000 0.4326 x4
Au: 0.0000 0.5000 0.1296 x4

The 10 most intense peaks (10° ≤ 2θ ≤ 90°), sorted by position:
17.39 deg, d 5.099, intensity 74
26.04 deg, d 3.422, intensity 100
27.64 deg, d 3.228, intensity 79
30.19 deg, d 2.960, intensity 46
34.07 deg, d 2.631, intensity 49
35.58 deg, d 2.523, intensity 55
35.79 deg, d 2.509, intensity 43
45.80 deg, d 1.981, intensity 40
50.09 deg, d 1.821, intensity 42
50.25 deg, d 1.816, intensity 33


Record 11
Theoretical powder XRD pattern of CsCuAu2F8 for Cu Kα X-rays, from a cell relaxed with PBE.
Lines closer than 0.1° are merged.

Cell and atoms:
Cell: 5.6710 5.6710 27.1118 Å, 90.00 90.00 120.00°
Space group R-3m (No. 166, hexagonal axes)
Symmetry-distinct sites (fractional):
Cs: 0.0000 0.0000 0.0000 x3
Cu: 0.0000 0.0000 0.5000 x3
Au: 0.0000 0.0000 0.2548 x6
F: 0.0000 0.0000 0.3303 x6
F: 0.0221 0.5110 0.1255 x18

The 10 most intense peaks (10° ≤ 2θ ≤ 90°), sorted by position:
19.22 deg, d 4.618, intensity 15
22.35 deg, d 3.977, intensity 100
31.55 deg, d 2.836, intensity 40
32.09 deg, d 2.789, intensity 29
39.01 deg, d 2.309, intensity 14
45.62 deg, d 1.988, intensity 18
51.01 deg, d 1.790, intensity 22
51.73 deg, d 1.767, intensity 23
56.53 deg, d 1.628, intensity 12
71.12 deg, d 1.326, intensity 9


Record 12
Theoretical powder XRD pattern of CsCuAuS2 for Cu Kα X-rays, from a cell relaxed with PBE.
Lines closer than 0.1° are merged.

Cell and atoms:
Cell: 6.2560 12.5311 6.9633 Å, 90.00 90.00 90.00°
Space group Cmme (No. 67)
Symmetry-distinct sites (fractional):
Cs: 0.0000 0.2500 0.2333 x4
Cu: 0.2500 0.0000 0.0000 x4
Au: 0.0000 0.0000 0.5000 x4
S: 0.0000 0.0794 0.8028 x8

The 10 most intense peaks (10° ≤ 2θ ≤ 90°), sorted by position:
14.14 deg, d 6.266, intensity 63
19.05 deg, d 4.658, intensity 34
20.36 deg, d 4.363, intensity 35
28.51 deg, d 3.131, intensity 98
28.72 deg, d 3.109, intensity 60
29.35 deg, d 3.043, intensity 100
31.34 deg, d 2.854, intensity 44
34.54 deg, d 2.597, intensity 71
41.41 deg, d 2.181, intensity 35
42.87 deg, d 2.110, intensity 37